Record 1
For Li3Pt3O8, a structure optimized by DFT (PBE) gives the theoretical XRD peak list in this record (Cu Kα (λ = 1.5418 Å)).
Kinematic intensities with the Lorentz-polarization factor, no thermal factor.

Main lines, sorted by position (2θ = 5–70°):
- 2θ = 17.62°, intensity 39
- 2θ = 18.52°, intensity 100
- 2θ = 20.64°, intensity 23
- 2θ = 33.94°, intensity 63
- 2θ = 35.67°, intensity 35
- 2θ = 41.99°, intensity 52
- 2θ = 46.25°, intensity 23
- 2θ = 56.40°, intensity 18
- 2θ = 59.59°, intensity 19
- 2θ = 62.98°, intensity 23

Atomic structure:
```
Li3Pt3O8
1.0
3.103 1.791 4.791
-3.103 1.791 4.791
0.000 -3.583 4.791
Li Pt O
3 3 8
direct
0.000 0.000 0.000
0.390 0.390 0.390
0.610 0.610 0.610
0.000 0.000 0.500
0.000 0.500 0.000
0.500 0.000 0.000
0.214 0.754 0.754
0.237 0.237 0.237
0.246 0.246 0.786
0.246 0.786 0.246
0.754 0.214 0.754
0.754 0.754 0.214
0.763 0.763 0.763
0.786 0.246 0.246
```

Record 2
For Li2Pt3O8, a structure optimized by DFT (PBE) gives the theoretical XRD peak list in this record (Cu Kα (λ = 1.5418 Å)).
Kinematic intensities with the Lorentz-polarization factor, no thermal factor.

Main lines, sorted by position (2θ = 5–70°):
- 2θ = 18.25°, intensity 100
- 2θ = 19.19°, intensity 43
- 2θ = 25.47°, intensity 17
- 2θ = 28.95°, intensity 20
- 2θ = 34.45°, intensity 59
- 2θ = 35.67°, intensity 25
- 2θ = 36.99°, intensity 22
- 2θ = 41.41°, intensity 24
- 2θ = 42.60°, intensity 40
- 2θ = 60.91°, intensity 26

Atomic structure:
```
Li2Pt3O8
1.0
3.082 -5.853 0.000
3.082 5.853 0.000
0.000 0.000 8.722
Li Pt O
4 6 16
direct
0.130 0.870 0.893
0.370 0.630 0.393
0.630 0.370 0.607
0.870 0.130 0.107
0.000 0.000 0.500
0.117 0.383 0.750
0.383 0.117 0.250
0.500 0.500 0.000
0.617 0.883 0.750
0.883 0.617 0.250
0.014 0.986 0.264
0.118 0.350 0.523
0.150 0.382 0.977
0.241 0.759 0.245
0.259 0.741 0.745
0.350 0.118 0.477
0.382 0.150 0.023
0.486 0.514 0.764
0.514 0.486 0.236
0.618 0.850 0.977
0.650 0.882 0.523
0.741 0.259 0.255
0.759 0.241 0.755
0.850 0.618 0.023
0.882 0.650 0.477
0.986 0.014 0.736
```

Record 3
For Li2Pt4O9, a structure optimized by DFT (PBE) gives the theoretical XRD peak list in this record (Cu Kα (λ = 1.5418 Å)).
Kinematic intensities with the Lorentz-polarization factor, no thermal factor.

Main lines, sorted by position (2θ = 5–70°):
- 2θ = 19.86°, intensity 100
- 2θ = 23.52°, intensity 42
- 2θ = 32.20°, intensity 97
- 2θ = 34.75°, intensity 89
- 2θ = 43.30°, intensity 36
- 2θ = 48.10°, intensity 37
- 2θ = 52.46°, intensity 57
- 2θ = 60.70°, intensity 35
- 2θ = 62.29°, intensity 26
- 2θ = 69.48°, intensity 19

Atomic structure:
```
Li2Pt4O9
1.0
5.163 0.000 0.000
-2.582 4.471 0.000
0.000 0.000 14.195
Li Pt O
4 8 18
direct
0.000 0.000 0.156
0.000 0.000 0.344
0.000 0.000 0.656
0.000 0.000 0.844
0.333 0.667 0.016
0.333 0.667 0.318
0.333 0.667 0.516
0.333 0.667 0.818
0.667 0.333 0.182
0.667 0.333 0.484
0.667 0.333 0.682
0.667 0.333 0.984
0.000 0.314 0.250
0.000 0.686 0.750
0.038 0.361 0.920
0.038 0.677 0.420
0.314 0.000 0.250
0.314 0.314 0.750
0.323 0.361 0.420
0.323 0.962 0.920
0.361 0.038 0.580
0.361 0.323 0.080
0.639 0.677 0.920
0.639 0.962 0.420
0.677 0.038 0.080
0.677 0.639 0.580
0.686 0.000 0.750
0.686 0.686 0.250
0.962 0.323 0.580
0.962 0.639 0.080
```

Record 4
For Li7PtO6, a structure optimized by DFT (PBE) gives the theoretical XRD peak list in this record (Cu Kα (λ = 1.5418 Å)).
Kinematic intensities with the Lorentz-polarization factor, no thermal factor.

Main lines, sorted by position (2θ = 5–70°):
- 2θ = 18.56°, intensity 31
- 2θ = 19.21°, intensity 100
- 2θ = 22.03°, intensity 73
- 2θ = 30.95°, intensity 26
- 2θ = 36.33°, intensity 18
- 2θ = 37.04°, intensity 44
- 2θ = 37.39°, intensity 16
- 2θ = 49.85°, intensity 15
- 2θ = 50.05°, intensity 26
- 2θ = 51.14°, intensity 15

Atomic structure:
```
Li7PtO6
1.0
2.817 1.627 4.780
-2.817 1.627 4.780
0.000 -3.253 4.780
Li Pt O
7 1 6
direct
0.000 0.000 0.000
0.157 0.421 0.714
0.170 0.931 0.534
0.421 0.714 0.157
0.534 0.170 0.931
0.714 0.157 0.421
0.931 0.534 0.170
0.654 0.654 0.654
0.018 0.770 0.418
0.278 0.578 0.861
0.418 0.018 0.770
0.578 0.861 0.278
0.770 0.418 0.018
0.861 0.278 0.578
```

Record 5
For Li3PtO3, a structure optimized by DFT (PBE) gives the theoretical XRD peak list in this record (Cu Kα (λ = 1.5418 Å)).
Kinematic intensities with the Lorentz-polarization factor, no thermal factor.

Main lines, sorted by position (2θ = 5–70°):
- 2θ = 14.55°, intensity 100
- 2θ = 25.34°, intensity 35
- 2θ = 32.90°, intensity 27
- 2θ = 36.14°, intensity 17
- 2θ = 39.15°, intensity 26
- 2θ = 41.97°, intensity 22
- 2θ = 44.65°, intensity 18
- 2θ = 54.33°, intensity 20
- 2θ = 60.86°, intensity 14
- 2θ = 62.94°, intensity 8

Atomic structure:
```
Li3PtO3
1.0
-4.305 4.305 4.305
4.305 -4.305 4.305
4.305 4.305 -4.305
Li Pt O
12 4 12
direct
0.026 0.052 0.776
0.026 0.474 0.250
0.052 0.776 0.026
0.250 0.026 0.474
0.250 0.724 0.776
0.448 0.474 0.724
0.474 0.250 0.026
0.474 0.724 0.448
0.724 0.448 0.474
0.724 0.776 0.250
0.776 0.026 0.052
0.776 0.250 0.724
0.000 0.250 0.500
0.250 0.250 0.250
0.250 0.500 0.000
0.500 0.000 0.250
0.245 0.750 0.255
0.245 0.995 0.990
0.255 0.245 0.750
0.255 0.510 0.505
0.505 0.255 0.510
0.505 0.750 0.995
0.510 0.505 0.255
0.750 0.255 0.245
0.750 0.995 0.505
0.990 0.245 0.995
0.995 0.505 0.750
0.995 0.990 0.245
```

Record 6
For LiPt2O4, a structure optimized by DFT (PBE) gives the theoretical XRD peak list in this record (Cu Kα (λ = 1.5418 Å)).
Kinematic intensities with the Lorentz-polarization factor, no thermal factor.

Main lines, sorted by position (2θ = 5–70°):
- 2θ = 17.67°, intensity 100
- 2θ = 32.18°, intensity 16
- 2θ = 32.34°, intensity 38
- 2θ = 33.69°, intensity 20
- 2θ = 35.50°, intensity 22
- 2θ = 35.79°, intensity 12
- 2θ = 38.63°, intensity 32
- 2θ = 43.67°, intensity 12
- 2θ = 46.45°, intensity 13
- 2θ = 51.45°, intensity 14

Atomic structure:
```
LiPt2O4
1.0
5.348 -1.595 0.000
5.348 1.595 0.000
-1.959 0.000 5.321
Li Pt O
1 2 4
direct
0.000 0.000 0.000
0.260 0.260 0.255
0.740 0.740 0.745
0.149 0.149 0.861
0.341 0.341 0.659
0.659 0.659 0.341
0.851 0.851 0.139
```

Record 7
For RbLiPtO2, a structure optimized by DFT (PBE) gives the theoretical XRD peak list in this record (Cu Kα (λ = 1.5418 Å)).
Kinematic intensities with the Lorentz-polarization factor, no thermal factor.

Main lines, sorted by position (2θ = 5–70°):
- 2θ = 14.42°, intensity 41
- 2θ = 26.91°, intensity 38
- 2θ = 27.82°, intensity 100
- 2θ = 29.07°, intensity 36
- 2θ = 39.09°, intensity 76
- 2θ = 40.02°, intensity 43
- 2θ = 50.77°, intensity 19
- 2θ = 58.39°, intensity 32
- 2θ = 63.17°, intensity 20
- 2θ = 64.57°, intensity 20

Atomic structure:
```
RbLiPtO2
1.0
3.314 0.000 0.000
0.000 3.760 0.000
-0.008 0.000 6.144
Rb Li Pt O
1 1 1 2
direct
0.000 0.000 0.000
0.500 0.000 0.500
0.000 0.500 0.500
0.500 0.500 0.293
0.500 0.500 0.707
```

Record 8
For LiPt2SeO, a structure optimized by DFT (PBE) gives the theoretical XRD peak list in this record (Cu Kα (λ = 1.5418 Å)).
Kinematic intensities with the Lorentz-polarization factor, no thermal factor.

Main lines, sorted by position (2θ = 5–70°):
- 2θ = 21.14°, intensity 36
- 2θ = 29.28°, intensity 31
- 2θ = 36.39°, intensity 100
- 2θ = 41.88°, intensity 35
- 2θ = 43.05°, intensity 16
- 2θ = 47.37°, intensity 19
- 2θ = 52.91°, intensity 13
- 2θ = 60.72°, intensity 12
- 2θ = 61.62°, intensity 23
- 2θ = 65.05°, intensity 7

Atomic structure:
```
LiPt2SeO
1.0
4.314 0.000 0.000
0.000 4.314 0.000
0.000 0.000 4.202
Li Pt Se O
1 2 1 1
direct
0.000 0.000 0.000
0.000 0.500 0.000
0.500 0.000 0.000
0.000 0.000 0.500
0.500 0.500 0.500
```